For Li8FeCo9O20, a cell relaxed with PBE+U gives the simulated powder X-ray diffraction pattern in this record (Cu Kα X-rays).
Kinematic intensities with the Lorentz-polarization factor, no thermal factor.

Peak list (10 most intense, 2θ from 10° to 90°, in order of rising 2θ)
- 2θ = 18.52°, I 100, (0 0 2)
- 2θ = 37.20°, I 35, (1 -3 1)
- 2θ = 38.80°, I 12, (2 -1 1)
- 2θ = 44.74°, I 60, (1 -3 3)
- 2θ = 48.79°, I 7, (1 2 -4)
- 2θ = 58.64°, I 14, (1 2 4)
- 2θ = 64.27°, I 16, (1 2 -6)
- 2θ = 65.97°, I 11, (3 1 -1)
- 2θ = 66.03°, I 5, (3 -4 0)
- 2θ = 69.17°, I 9, (3 1 1)

Unit cell a=4.9060 b=7.4854 c=9.7221 alpha=96.35 beta=94.81 gamma=109.04
Sites, in units of the cell vectors:
Li: 0.0912 0.4383 0.2458
Li: 0.0995 0.9422 0.7522
Li: 0.3045 0.3616 0.7535
Li: 0.3073 0.8637 0.2488
Li: 0.6927 0.1363 0.7512
Li: 0.6955 0.6384 0.2465
Li: 0.9005 0.0578 0.2478
Li: 0.9088 0.5617 0.7542
Fe: 0.5000 0.5000 0.5000
Co: 0.1038 0.2010 0.0011
Co: 0.1051 0.7014 0.4999
Co: 0.2982 0.0993 0.4980
Co: 0.2993 0.6000 0.9980
Co: 0.5000 0.0000 0.0000
Co: 0.7007 0.4000 0.0020
Co: 0.7018 0.9007 0.5020
Co: 0.8949 0.2986 0.5001
Co: 0.8962 0.7990 0.9989
O: 0.0045 0.3778 0.8918
O: 0.0065 0.8791 0.3912
O: 0.1884 0.5155 0.6063
O: 0.1886 0.0171 0.1027
O: 0.1927 0.2804 0.3934
O: 0.1975 0.7815 0.8955
O: 0.3936 0.4248 0.1048
O: 0.3957 0.9259 0.6053
O: 0.4067 0.1784 0.8927
O: 0.4092 0.6759 0.3905
O: 0.5908 0.3241 0.6095
O: 0.5933 0.8216 0.1073
O: 0.6043 0.0741 0.3947
O: 0.6064 0.5752 0.8952
O: 0.8025 0.2185 0.1045
O: 0.8073 0.7196 0.6066
O: 0.8114 0.9829 0.8973
O: 0.8116 0.4845 0.3937
O: 0.9935 0.1209 0.6088
O: 0.9955 0.6222 0.1082